# DyAg
Simulated XRD peak list, Cu Kα (weighted mean of Kα1 and Kα2). Input: DFT lattice parameters and positions (GGA-PBE).
Peak positions follow from Bragg's law for the DFT cell and can differ from measured ones.

Peak list (8 most intense, 10° ≤ 2θ ≤ 90°, by intensity)
- 2θ = 34.83°, d 2.576, I 100, (1 1 0)
- 2θ = 62.44°, d 1.487, I 36, (2 1 1)
- 2θ = 50.07°, d 1.822, I 18, (2 0 0)
- 2θ = 84.00°, d 1.152, I 16, (3 1 0)
- 2θ = 73.53°, d 1.288, I 11, (2 2 0)
- 2θ = 24.43°, d 3.643, I 4, (1 0 0)
- 2θ = 56.48°, d 1.629, I 2, (2 1 0)
- 2θ = 43.00°, d 2.103, I 1, (1 1 1)

Atomic structure:
```
data_DyAg
_chemical_formula_sum 'Dy1 Ag1'
_space_group_name_H-M_alt 'P m -3 m'
_space_group_IT_number 221
_space_group_name_Hall '-P 4 2 3'
_cell_length_a 3.6432
_cell_length_b 3.6432
_cell_length_c 3.6432
_cell_angle_alpha 90.00
_cell_angle_beta 90.00
_cell_angle_gamma 90.00
loop_
_atom_site_label
_atom_site_type_symbol
_atom_site_fract_x
_atom_site_fract_y
_atom_site_fract_z
_atom_site_occupancy
Dy1 Dy 0.0000 0.0000 0.0000 1
Ag1 Ag 0.5000 0.5000 0.5000 1
```



# AlPO4
Simulated XRD peak list, Cu Kα (weighted mean of Kα1 and Kα2). Input: DFT lattice parameters and positions (GGA-PBE).
Peak positions follow from Bragg's law for the DFT cell and can differ from measured ones.

Peak list (8 most intense, 10° ≤ 2θ ≤ 90°, by intensity)
- 2θ = 20.68°, d 4.296, I 100, (0 2 0)
- 2θ = 13.41°, d 6.602, I 80, (0 0 2)
- 2θ = 21.72°, d 4.091, I 69, (2 1 0)
- 2θ = 22.44°, d 3.962, I 46, (2 0 -3)
- 2θ = 25.24°, d 3.529, I 31, (1 0 3)
- 2θ = 21.80°, d 4.077, I 24, (2 1 -2)
- 2θ = 28.89°, d 3.090, I 23, (3 0 -3)
- 2θ = 22.69°, d 3.920, I 20, (0 1 3)

Atomic structure:
```
data_AlPO4
_chemical_formula_sum 'Al10 P10 O40'
_space_group_name_H-M_alt 'P 1 21 1'
_space_group_IT_number 4
_space_group_name_Hall 'P 2yb'
_cell_length_a 9.9043
_cell_length_b 8.5922
_cell_length_c 14.0946
_cell_angle_alpha 90.00
_cell_angle_beta 110.36
_cell_angle_gamma 90.00
loop_
_atom_site_label
_atom_site_type_symbol
_atom_site_fract_x
_atom_site_fract_y
_atom_site_fract_z
_atom_site_occupancy
Al1 Al 0.0669 0.0000 0.1242 1
Al2 Al 0.0814 0.0052 0.7310 1
Al3 Al 0.2245 0.0031 0.4446 1
Al4 Al 0.3365 0.5006 0.2695 1
Al5 Al 0.3372 0.5017 0.6588 1
P1 P 0.0551 0.6223 0.1077 1
P2 P 0.0712 0.6264 0.7201 1
P3 P 0.2099 0.6297 0.4310 1
P4 P 0.3489 0.1281 0.6779 1
P5 P 0.3549 0.1305 0.2892 1
O1 O 0.0122 0.0815 0.0043 1
O2 O 0.0481 0.0719 0.8379 1
O3 O 0.0530 0.5523 0.8143 1
O4 O 0.0565 0.5664 0.3791 1
O5 O 0.0600 0.0904 0.3752 1
O6 O 0.0791 0.7984 0.1191 1
O7 O 0.0876 0.8029 0.7340 1
O8 O 0.2010 0.5375 0.1524 1
O9 O 0.2017 0.8029 0.4551 1
O10 O 0.2073 0.5593 0.7084 1
O11 O 0.2386 0.0713 0.1924 1
O12 O 0.2445 0.0830 0.7321 1
O13 O 0.2812 0.5379 0.5288 1
O14 O 0.2890 0.0763 0.5669 1
O15 O 0.2998 0.6126 0.3619 1
O16 O 0.3319 0.3050 0.3022 1
O17 O 0.3477 0.0422 0.3828 1
O18 O 0.3717 0.3044 0.6828 1
O19 O 0.4939 0.0482 0.7334 1
O20 O 0.4968 0.6047 0.7199 1
```



# ZnOsO3
Simulated XRD peak list, Cu Kα (weighted mean of Kα1 and Kα2). Input: DFT lattice parameters and positions (GGA-PBE).
Peak positions follow from Bragg's law for the DFT cell and can differ from measured ones.

Peak list (8 most intense, 10° ≤ 2θ ≤ 90°, by intensity)
- 2θ = 32.49°, d 2.756, I 100, (1 1 0)
- 2θ = 57.97°, d 1.591, I 39, (2 1 1)
- 2θ = 22.82°, d 3.897, I 36, (1 0 0)
- 2θ = 46.61°, d 1.948, I 29, (2 0 0)
- 2θ = 68.05°, d 1.378, I 18, (2 2 0)
- 2θ = 77.45°, d 1.232, I 17, (3 1 0)
- 2θ = 52.51°, d 1.743, I 15, (2 1 0)
- 2θ = 72.81°, d 1.299, I 7, (3 0 0)

Atomic structure:
```
data_ZnOsO3
_chemical_formula_sum 'Zn1 Os1 O3'
_space_group_name_H-M_alt 'P m -3 m'
_space_group_IT_number 221
_space_group_name_Hall '-P 4 2 3'
_cell_length_a 3.8969
_cell_length_b 3.8969
_cell_length_c 3.8969
_cell_angle_alpha 90.00
_cell_angle_beta 90.00
_cell_angle_gamma 90.00
loop_
_atom_site_label
_atom_site_type_symbol
_atom_site_fract_x
_atom_site_fract_y
_atom_site_fract_z
_atom_site_occupancy
Zn1 Zn 0.0000 0.0000 0.0000 1
Os1 Os 0.5000 0.5000 0.5000 1
O1 O 0.0000 0.5000 0.5000 1
```